Starting from DFT lattice parameters and positions (GGA+U), the powder X-ray diffraction pattern of Li9Mn2Co5O16 was computed for Cu Kα (weighted mean of Kα1 and Kα2).
No peak broadening, texture or thermal motion is included.

Atomic structure:
```
data_Li9Mn2Co5O16
_chemical_formula_sum 'Li18 Mn4 Co10 O32'
_symmetry_space_group_name_H-M 'C 1 2/m 1'
_symmetry_Int_Tables_number 12
_cell_length_a 11.7500
_cell_length_b 5.8175
_cell_length_c 10.2169
_cell_angle_alpha 90.00
_cell_angle_beta 124.46
_cell_angle_gamma 90.00
loop_
_symmetry_equiv_pos_as_xyz
'x,y,z'
'-x,-y,-z'
'-x,y,-z'
'x,-y,z'
'x+1/2,y+1/2,z'
'-x+1/2,-y+1/2,-z'
'-x+1/2,y+1/2,-z'
'x+1/2,-y+1/2,z'
loop_
_atom_site_label
_atom_site_type_symbol
_atom_site_fract_x
_atom_site_fract_y
_atom_site_fract_z
Li1 Li 0.0000 0.0000 0.0000
Li2 Li 0.2456 0.2462 0.2418
Li3 Li 0.2489 0.0000 0.4991
Li4 Li 0.2497 0.0000 0.0047
Mn1 Mn 0.0000 0.0000 0.5000
Mn2 Mn 0.0000 0.5000 0.0000
Co1 Co 0.0000 0.5000 0.5000
Co2 Co 0.0016 0.2454 0.7583
O1 O 0.1106 0.5000 0.7434
O2 O 0.1125 0.2429 0.4972
O3 O 0.1127 0.0000 0.7332
O4 O 0.1147 0.2653 0.9924
O5 O 0.1150 0.5000 0.2325
O6 O 0.1168 0.0000 0.2569
```

Main lines, in order of rising 2θ (2θ from 5° to 70°):
h k l, two_theta, I_rel
2 0 0, 18.31, 100
2 0 -4, 35.59, 14
2 2 -2, 36.12, 26
4 0 -4, 37.56, 11
0 0 4, 42.94, 29
4 2 -2, 43.80, 55
4 2 2, 62.74, 15
4 2 -6, 63.30, 22